# Zr5GaGe3
Calculated powder diffraction line list, λ = 1.5418 Å (Cu Kα). Input: DFT lattice parameters and positions (PBE).

Principal peaks in the range 2θ = 5–70°, most intense first:
2θ/deg  intensity
38.14  100.0
37.32  81.4
36.44  54.3
54.42  25.7
67.84  20.8
48.09  14.0
59.07  12.9
57.90  9.8
65.22  8.4
31.26  7.5

Structure:
```
18
Lattice="8.346 0.000 0.000 -4.173 7.228 0.000 0.000 0.000 5.722" Properties=species:S:1:pos:R:3 pbc="T T T"
Zr -1.146 1.985 1.431
Zr -3.027 5.243 4.292
Zr 2.292 0.000 1.431
Zr 1.146 1.985 4.292
Zr 0.000 4.819 0.000
Zr 0.000 4.819 2.861
Zr 4.173 2.409 0.000
Zr 4.173 2.409 2.861
Zr 6.054 0.000 4.292
Zr 3.027 5.243 1.431
Ga 0.000 0.000 0.000
Ga 0.000 0.000 2.861
Ge -1.610 2.789 4.292
Ge -2.563 4.440 1.431
Ge 3.220 0.000 4.292
Ge 1.610 2.789 1.431
Ge 5.127 0.000 1.431
Ge 2.563 4.440 4.292
```


# Cu2Ag7
Calculated powder diffraction line list, λ = 1.5418 Å (Cu Kα). Input: DFT lattice parameters and positions (PBE).

Principal peaks in the range 2θ = 5–70°, most intense first:
2θ/deg  intensity
38.42  100.0
44.20  32.8
65.35  19.1
45.56  15.2
64.29  9.9
28.19  2.1
35.44  1.1
22.59  1.0
63.82  1.0
13.57  0.8

Structure:
```
9
Lattice="-1.448 1.991 13.046 1.448 -1.991 13.046 1.448 1.991 -13.046" Properties=species:S:1:pos:R:3 pbc="T T T"
Cu 0.000 0.000 2.887
Cu 0.000 0.000 23.205
Ag 0.000 0.000 0.000
Ag 0.000 0.000 5.753
Ag 0.000 0.000 8.785
Ag 0.000 0.000 11.538
Ag 0.000 0.000 14.554
Ag 0.000 0.000 17.307
Ag 0.000 0.000 20.338
```


# HoTmAl4Fe2
Calculated powder diffraction line list, λ = 1.5418 Å (Cu Kα). Input: DFT lattice parameters and positions (PBE).

Principal peaks in the range 2θ = 5–70°, most intense first:
2θ/deg  intensity
35.09  100.0
37.36  89.6
23.87  62.6
38.30  51.2
25.34  50.1
52.93  37.9
60.64  26.2
45.13  24.5
21.85  22.4
58.02  15.7

Structure:
```
8
Lattice="7.030 0.000 0.000 0.000 2.009 4.988 0.000 -2.009 4.988" Properties=species:S:1:pos:R:3 pbc="T T T"
Ho 0.000 0.000 0.000
Tm 3.515 0.000 1.254
Al 1.369 0.000 7.159
Al 2.160 0.000 4.069
Al 4.871 0.000 4.069
Al 5.661 0.000 7.159
Fe 0.000 0.000 2.757
Fe 3.515 0.000 8.469
```


# RbNdP4O12
Calculated powder diffraction line list, λ = 1.5418 Å (Cu Kα). Input: DFT lattice parameters and positions (PBE).

Principal peaks in the range 2θ = 5–70°, most intense first:
2θ/deg  intensity
27.71  100.0
26.18  61.1
24.49  41.3
19.05  36.9
16.71  31.6
37.81  30.2
24.59  28.5
14.08  23.8
28.34  21.0
33.14  18.9

Structure:
```
36
Lattice="3.902 -6.290 0.000 3.902 6.290 0.000 -3.832 0.000 9.879" Properties=species:S:1:pos:R:3 pbc="T T T"
Rb 1.028 3.969 7.409
Rb 2.944 -3.969 2.470
Nd 2.944 4.761 2.470
Nd 1.028 -4.761 7.409
P 0.063 0.272 5.567
P 3.592 2.135 0.062
P 1.979 -0.272 0.628
P 2.297 2.135 4.878
P 1.676 -2.135 5.001
P 1.993 0.272 9.251
P 0.381 -2.135 9.817
P 3.909 -0.272 4.312
O -1.158 2.541 8.830
O -0.470 0.117 4.176
O -2.385 -0.117 9.115
O 1.820 3.166 3.899
O -0.850 0.335 6.738
O 1.066 -0.335 1.799
O 0.976 1.588 5.633
O 4.068 3.166 1.041
O 3.059 0.897 0.920
O 1.080 1.588 9.185
O 2.830 0.897 4.019
O 0.758 -2.541 3.890
O 3.215 2.541 5.989
O 1.143 -0.897 5.860
O 2.892 -1.588 0.694
O 0.914 -0.897 8.959
O -0.096 -3.166 8.838
O 2.996 -1.588 4.246
O 2.907 0.335 8.080
O 4.823 -0.335 3.141
O 2.152 -3.166 5.980
O 6.358 0.117 0.764
O 4.442 -0.117 5.703
O 5.131 -2.541 1.049
```


# K3OsS4
Calculated powder diffraction line list, λ = 1.5418 Å (Cu Kα). Input: DFT lattice parameters and positions (PBE).

Principal peaks in the range 2θ = 5–70°, most intense first:
2θ/deg  intensity
16.30  100.0
32.95  57.9
23.02  36.8
15.74  27.7
27.77  26.3
16.70  24.8
28.90  21.8
23.25  21.0
44.53  17.8
33.76  14.4

Structure:
```
16
Lattice="5.310 -5.632 0.000 5.310 5.632 0.000 0.000 0.000 7.652" Properties=species:S:1:pos:R:3 pbc="T T T"
K 5.310 3.373 3.826
K 2.947 0.342 3.757
K 2.947 -0.342 7.583
K 7.673 0.342 3.757
K 7.673 -0.342 7.583
K 5.310 -3.373 0.000
Os 5.310 2.765 7.650
Os 5.310 -2.765 3.824
S 5.310 4.740 1.019
S 3.509 2.588 6.372
S 5.310 1.129 1.500
S 7.111 2.588 6.372
S 3.509 -2.588 2.546
S 5.310 -1.129 5.326
S 7.111 -2.588 2.546
S 5.310 -4.740 4.845
```


# Y2Ga9Co3
Calculated powder diffraction line list, λ = 1.5418 Å (Cu Kα). Input: DFT lattice parameters and positions (PBE).

Principal peaks in the range 2θ = 5–70°, most intense first:
2θ/deg  intensity
37.66  100.0
42.52  49.2
42.71  24.1
38.21  15.8
38.62  12.4
46.89  11.9
42.23  10.8
47.58  10.6
45.74  10.1
58.20  8.8

Structure:
```
28
Lattice="6.351 -3.687 0.000 6.351 3.687 0.000 0.000 0.000 9.423" Properties=species:S:1:pos:R:3 pbc="T T T"
Y 4.263 2.452 7.067
Y 8.439 2.452 7.067
Y 4.263 -2.452 2.356
Y 8.439 -2.452 2.356
Ga 4.235 2.451 0.674
Ga 4.235 2.451 4.038
Ga 6.351 2.791 2.356
Ga 6.351 1.221 5.251
Ga 6.351 1.221 8.883
Ga 8.467 2.451 0.674
Ga 8.467 2.451 4.038
Ga 4.997 0.425 2.356
Ga 4.997 -0.425 7.067
Ga 7.705 0.425 2.356
Ga 7.705 -0.425 7.067
Ga 4.235 -2.451 5.385
Ga 4.235 -2.451 8.749
Ga 6.351 -1.221 0.540
Ga 6.351 -1.221 4.172
Ga 6.351 -2.791 7.067
Ga 8.467 -2.451 5.385
Ga 8.467 -2.451 8.749
Co 0.000 0.000 0.000
Co 0.000 0.000 4.711
Co 4.175 0.000 0.000
Co 4.175 0.000 4.711
Co 8.527 0.000 0.000
Co 8.527 0.000 4.711
```


# NaDySO
Calculated powder diffraction line list, λ = 1.5418 Å (Cu Kα). Input: DFT lattice parameters and positions (PBE).

Principal peaks in the range 2θ = 5–70°, most intense first:
2θ/deg  intensity
8.78  100.0
26.43  28.6
26.25  28.0
33.59  23.4
31.73  23.3
31.99  23.3
46.36  17.2
23.13  12.4
33.45  8.3
38.67  8.0

Structure:
```
16
Lattice="5.542 0.000 0.000 0.000 5.539 0.000 -2.658 0.000 10.075" Properties=species:S:1:pos:R:3 pbc="T T T"
Na -0.020 0.000 0.962
Na 0.081 5.517 9.116
Na 2.802 2.748 0.959
Na 2.904 2.769 9.113
Dy -1.323 1.419 6.133
Dy 1.435 1.421 3.942
Dy 1.449 4.191 6.133
Dy 4.206 4.189 3.942
S 0.009 2.764 1.860
S 0.123 2.750 8.215
S 2.760 5.520 1.860
S 2.874 5.533 8.215
O 0.057 0.039 5.036
O 0.056 2.810 5.039
O 2.828 0.041 5.036
O 2.826 2.809 5.039
```


# Cs2Rb2Sn2Au7
Calculated powder diffraction line list, λ = 1.5418 Å (Cu Kα). Input: DFT lattice parameters and positions (PBE).

Principal peaks in the range 2θ = 5–70°, most intense first:
2θ/deg  intensity
32.02  100.0
15.85  89.5
28.30  71.5
31.42  65.6
30.21  60.4
42.45  51.6
45.15  45.1
25.55  43.5
17.99  42.2
52.49  38.3

Structure:
```
13
Lattice="3.487 2.013 9.860 -3.487 2.013 9.860 0.000 -4.026 9.860" Properties=species:S:1:pos:R:3 pbc="T T T"
Cs 0.000 0.000 5.477
Cs 0.000 0.000 24.103
Rb 0.000 0.000 9.263
Rb 0.000 0.000 20.317
Sn 0.000 0.000 1.472
Sn 0.000 0.000 28.108
Au 0.000 -1.626 12.471
Au -1.408 0.813 12.471
Au -1.408 -0.813 17.109
Au 0.000 0.000 14.790
Au 1.408 0.813 12.471
Au 1.408 -0.813 17.109
Au 0.000 1.626 17.109
```


# Nb3InBi5
Calculated powder diffraction line list, λ = 1.5418 Å (Cu Kα). Input: DFT lattice parameters and positions (PBE).

Principal peaks in the range 2θ = 5–70°, most intense first:
2θ/deg  intensity
30.77  100.0
26.92  89.1
41.34  78.2
37.12  53.1
52.41  29.8
30.48  25.8
64.10  23.4
52.15  21.6
54.72  20.6
43.86  20.1

Structure:
```
9
Lattice="5.811 0.000 0.000 -2.906 5.033 0.000 0.000 0.000 8.799" Properties=species:S:1:pos:R:3 pbc="T T T"
Nb -1.453 2.516 0.000
Nb 2.906 0.000 0.000
Nb 1.453 2.516 0.000
In 0.000 0.000 4.399
Bi 0.000 0.000 0.000
Bi 0.000 3.355 2.530
Bi 0.000 3.355 6.269
Bi 2.906 1.678 2.530
Bi 2.906 1.678 6.269
```


# Dy2Se
Calculated powder diffraction line list, λ = 1.5418 Å (Cu Kα). Input: DFT lattice parameters and positions (PBE).

Principal peaks in the range 2θ = 5–70°, most intense first:
2θ/deg  intensity
34.10  100.0
35.67  64.6
17.62  38.1
54.69  34.5
60.01  33.5
41.42  18.2
28.96  10.5
45.33  10.5
63.07  8.0
51.33  4.2

Structure:
```
6
Lattice="0.000 4.360 4.360 4.360 0.000 4.360 4.360 4.360 0.000" Properties=species:S:1:pos:R:3 pbc="T T T"
Dy 0.000 0.000 0.000
Dy 2.180 2.180 0.000
Dy 2.180 0.000 2.180
Dy 0.000 2.180 2.180
Se 3.270 3.270 3.270
Se 5.450 5.450 5.450
```


# HfNbTe2As2
Calculated powder diffraction line list, λ = 1.5418 Å (Cu Kα). Input: DFT lattice parameters and positions (PBE).

Principal peaks in the range 2θ = 5–70°, most intense first:
2θ/deg  intensity
31.65  100.0
41.64  65.5
40.21  65.1
37.90  51.3
32.24  45.1
35.52  37.4
17.55  37.0
49.33  25.7
32.73  23.9
63.85  22.1

Structure:
```
6
Lattice="-1.847 2.737 6.587 1.847 -2.737 6.587 1.847 2.737 -6.587" Properties=species:S:1:pos:R:3 pbc="T T T"
Hf 0.000 0.000 0.000
Nb 0.000 0.000 3.143
Te 1.847 0.000 5.384
Te 0.000 2.737 4.294
As 1.847 1.342 1.629
As 0.000 1.394 8.216
```


# BaAl5CuIr
Calculated powder diffraction line list, λ = 1.5418 Å (Cu Kα). Input: DFT lattice parameters and positions (PBE).

Principal peaks in the range 2θ = 5–70°, most intense first:
2θ/deg  intensity
30.25  100.0
33.88  56.9
24.45  43.3
46.80  42.0
28.74  37.5
14.90  34.7
43.01  31.3
55.85  27.9
23.09  27.8
43.60  22.3

Structure:
```
8
Lattice="-2.076 3.641 5.152 2.076 -3.641 5.152 2.076 3.641 -5.152" Properties=species:S:1:pos:R:3 pbc="T T T"
Ba 0.000 0.000 0.000
Al 2.076 2.283 -1.643
Al 2.076 2.259 1.687
Al 0.000 3.641 0.115
Al 0.000 1.358 3.509
Al 0.000 1.382 6.839
Cu 0.000 3.641 2.477
Ir 2.076 0.000 2.867
```